Theoretical X-ray diffraction stick pattern
Compound: Pa2CdRh3
Radiation: Cu Kα, 1.54184 Å
Structure: a crystal structure in Alexandria, relaxed with GGA-PBE

Cell and atoms:
Lattice parameters (Å, degrees): 12.888 12.888 12.888 90.00 90.00 90.00
Space group Fd-3m (No. 227, origin choice 2)
Inequivalent atoms, fractional coordinates:
Pa (0.023, 0.023, 0.227)
Cd (0.000, 0.000, 0.500)
Rh (0.122, 0.375, 0.375)

Largest 6 diffraction maxima, most intense first, 10° ≤ 2θ ≤ 90°:
2θ 39.55, d 2.278, intensity 100, hkl 4 4 0
2θ 23.92, d 3.721, intensity 34, hkl 2 2 2
2θ 30.23, d 2.957, intensity 30, hkl 3 3 1
2θ 36.22, d 2.480, intensity 21, hkl 3 3 3
2θ 71.76, d 1.315, intensity 19, hkl 8 4 4
2θ 50.58, d 1.805, intensity 17, hkl 7 1 1